1.
Starting from a cell relaxed with GGA-PBE, the powder diffraction line list of Sm2Zn2Hg was computed for Cu Kα.
Intensities are scaled so that the largest is 100.

Principal peaks in the range 15° ≤ 2θ ≤ 90°, in order of falling intensity:
2θ/deg	I/Imax
38.3	100.0
32.1	97.3
30.9	86.0
38.9	72.0
31.8	57.8
35.2	42.8
55.1	37.3
37.4	32.8
25.4	31.0
33.1	30.1

Cell and atoms:
Lattice parameters (Å, degrees): 5.8971 5.8971 10.7298 114.00 114.00 46.18
Sites, in units of the cell vectors:
Sm  0.0242  0.0242  0.3342
Sm  0.1924  0.1924  0.1032
Sm  0.8076  0.8076  0.8968
Sm  0.9758  0.9758  0.6658
Zn  0.3708  0.3708  0.4348
Zn  0.4768  0.4768  0.1088
Zn  0.5232  0.5232  0.8912
Zn  0.6292  0.6292  0.5652
Hg  0.2706  0.2706  0.6583
Hg  0.7294  0.7294  0.3417

2.
Starting from a cell relaxed with GGA-PBE, the powder diffraction line list of Sm2ZnHg2 was computed for Cu Kα.
Intensities are scaled so that the largest is 100.

Principal peaks in the range 15° ≤ 2θ ≤ 90°, in order of falling intensity:
2θ/deg	I/Imax
31.7	100.0
36.2	81.7
34.5	55.3
53.0	32.9
39.0	32.5
62.9	26.7
49.6	19.0
64.8	17.1
65.7	15.2
68.8	12.6

Cell and atoms:
Lattice parameters (Å, degrees): 3.6783 7.7145 7.7145 34.85 90.00 90.00
Sites, in units of the cell vectors:
Sm  0.0000  0.0000  0.0000
Sm  0.0000  0.2422  0.2422
Zn  0.5000  0.4222  0.4222
Hg  0.5000  0.6141  0.6141
Hg  0.5000  0.8222  0.8222

3.
Starting from a cell relaxed with GGA-PBE, the powder diffraction line list of Sn4Hg was computed for Cu Kα.
Intensities are scaled so that the largest is 100.

Principal peaks in the range 15° ≤ 2θ ≤ 90°, in order of falling intensity:
2θ/deg	I/Imax
32.0	100.0
30.6	97.4
31.7	96.4
34.0	71.9
34.6	52.2
37.3	33.5
58.5	29.6
44.0	28.8
45.4	23.1
67.1	20.2

Cell and atoms:
Lattice parameters (Å, degrees): 5.6732 5.6732 9.4325 94.21 94.21 110.53
Sites, in units of the cell vectors:
Sn  0.0087  0.0087  0.3406
Sn  0.1787  0.5559  0.7986
Sn  0.2427  0.2427  0.0703
Sn  0.4441  0.8213  0.2014
Sn  0.5559  0.1787  0.7986
Sn  0.7573  0.7573  0.9297
Sn  0.8213  0.4441  0.2014
Sn  0.9913  0.9913  0.6594
Hg  0.3367  0.6633  0.5000
Hg  0.6633  0.3367  0.5000